Record 1
For Np2InPd9, a PBE-relaxed structure gives the computed powder diffraction line list in this record (λ = 1.5418 Å (Cu Kα)).
Intensities are scaled so that the largest is 100.

Most intense lines, 15° ≤ 2θ ≤ 90°, by angle:
2θ/deg	Rel. int.
21.64	8
30.79	7
37.95	100
44.05	33
44.23	16
64.05	11
64.19	21
76.93	25
77.19	12
81.13	11

Structure:
```
Np2InPd9
1.0
4.1118 0.0000 0.0000
0.0000 4.1118 0.0000
0.0000 0.0000 12.2879
Np In Pd
2 1 9
direct
0.0000 0.0000 0.1708
0.0000 0.0000 0.8292
0.0000 0.0000 0.5000
0.0000 0.5000 0.0000
0.0000 0.5000 0.3353
0.0000 0.5000 0.6647
0.5000 0.0000 0.0000
0.5000 0.0000 0.3353
0.5000 0.0000 0.6647
0.5000 0.5000 0.1684
0.5000 0.5000 0.5000
0.5000 0.5000 0.8316
```

=====

Record 2
For Pm2NpIn9, a PBE-relaxed structure gives the computed powder diffraction line list in this record (λ = 1.5418 Å (Cu Kα)).
Intensities are scaled so that the largest is 100.

Most intense lines, 15° ≤ 2θ ≤ 90°, by angle:
2θ/deg	Rel. int.
18.99	3
33.20	100
38.42	17
38.57	33
55.58	22
55.69	11
66.19	13
66.40	26
69.69	11
82.69	4

Structure:
```
Pm2NpIn9
1.0
4.6681 0.0000 0.0000
0.0000 4.6681 0.0000
0.0000 0.0000 14.0586
Pm Np In
2 1 9
direct
0.0000 0.0000 0.1668
0.0000 0.0000 0.8332
0.0000 0.0000 0.5000
0.0000 0.5000 0.0000
0.0000 0.5000 0.3363
0.0000 0.5000 0.6637
0.5000 0.0000 0.0000
0.5000 0.0000 0.3363
0.5000 0.0000 0.6637
0.5000 0.5000 0.1682
0.5000 0.5000 0.5000
0.5000 0.5000 0.8318
```

=====

Record 3
For PuNpIn6, a PBE-relaxed structure gives the computed powder diffraction line list in this record (λ = 1.5418 Å (Cu Kα)).
Intensities are scaled so that the largest is 100.

Most intense lines, 15° ≤ 2θ ≤ 90°, by angle:
2θ/deg	Rel. int.
19.08	11
27.11	10
33.36	100
38.71	50
43.50	6
47.90	5
55.90	34
66.68	40
70.07	11
83.09	4

Structure:
```
PuNpIn6
1.0
6.5754 0.0000 0.0000
0.0000 6.5754 0.0000
0.0000 0.0000 4.6570
Pu Np In
1 1 6
direct
0.0000 0.0000 0.0000
0.5000 0.5000 0.0000
0.0000 0.5000 0.0000
0.2505 0.2505 0.5000
0.2505 0.7495 0.5000
0.5000 0.0000 0.0000
0.7495 0.2505 0.5000
0.7495 0.7495 0.5000
```

=====

Record 4
For Np2InRu4, a PBE-relaxed structure gives the computed powder diffraction line list in this record (λ = 1.5418 Å (Cu Kα)).
Intensities are scaled so that the largest is 100.

Most intense lines, 15° ≤ 2θ ≤ 90°, by angle:
2θ/deg	Rel. int.
31.87	69
33.47	49
33.57	49
34.19	100
37.09	41
37.21	46
37.63	40
42.26	85
42.30	36
42.46	29

Structure:
```
Np2InRu4
1.0
5.4542 0.0000 0.0000
2.6812 4.8853 0.0000
0.0249 0.0492 9.5553
Np In Ru
4 2 8
direct
0.1611 0.1581 0.4432
0.3382 0.3440 0.9425
0.6618 0.6560 0.0575
0.8389 0.8419 0.5568
0.0000 0.0000 0.0000
0.5000 0.5000 0.5000
0.2187 0.7793 0.7396
0.2388 0.2630 0.6696
0.2676 0.2305 0.1689
0.2785 0.7181 0.2401
0.7215 0.2819 0.7599
0.7324 0.7695 0.8311
0.7612 0.7370 0.3304
0.7813 0.2207 0.2604
```

=====

Record 5
For NpInS2, a PBE-relaxed structure gives the computed powder diffraction line list in this record (λ = 1.5418 Å (Cu Kα)).
Intensities are scaled so that the largest is 100.

Most intense lines, 15° ≤ 2θ ≤ 90°, by angle:
2θ/deg	Rel. int.
23.54	43
25.89	76
26.79	48
30.12	23
32.42	100
37.94	40
45.10	46
47.88	21
51.50	49
56.63	20

Structure:
```
NpInS2
1.0
2.0102 1.1606 7.5573
-2.0102 1.1606 7.5573
0.0000 -2.3212 7.5573
Np In S
1 1 2
direct
0.0000 0.0000 0.0000
0.1724 0.1724 0.1724
0.3969 0.3969 0.3969
0.6012 0.6012 0.6012
```

=====

Record 6
For Np4InS8, a PBE-relaxed structure gives the computed powder diffraction line list in this record (λ = 1.5418 Å (Cu Kα)).
Intensities are scaled so that the largest is 100.

Most intense lines, 15° ≤ 2θ ≤ 90°, by angle:
2θ/deg	Rel. int.
24.13	44
25.25	47
25.47	90
27.83	41
28.33	95
34.86	41
35.20	44
35.54	100
44.62	42
45.31	28

Structure:
```
Np4InS8
1.0
7.0556 -4.0270 0.0000
7.0556 4.0270 0.0000
-6.9170 0.0000 7.3779
Np In S
4 1 8
direct
0.2403 0.2403 0.9819
0.2480 0.7520 0.0000
0.7520 0.2480 0.0000
0.7597 0.7597 0.0181
0.5000 0.5000 0.5000
0.0134 0.0134 0.1905
0.0189 0.5008 0.1874
0.4981 0.4981 0.8205
0.4992 0.9811 0.8126
0.5008 0.0189 0.1874
0.5019 0.5019 0.1795
0.9811 0.4992 0.8126
0.9866 0.9866 0.8095
```

=====

Record 7
For NpIn2Se6, a PBE-relaxed structure gives the computed powder diffraction line list in this record (λ = 1.5418 Å (Cu Kα)).
Intensities are scaled so that the largest is 100.

Most intense lines, 15° ≤ 2θ ≤ 90°, by angle:
2θ/deg	Rel. int.
15.68	57
19.22	33
23.11	60
24.15	100
25.73	42
26.81	83
33.99	44
38.77	64
44.64	51
45.46	52

Structure:
```
NpIn2Se6
1.0
6.1173 -5.8165 0.0000
6.1173 5.8165 0.0000
-0.0294 0.0000 7.5996
Np In Se
2 4 12
direct
0.0969 0.9031 0.7500
0.9031 0.0969 0.2500
0.2536 0.4236 0.5888
0.4236 0.2536 0.0888
0.5764 0.7464 0.9112
0.7464 0.5764 0.4112
0.0608 0.1877 0.5594
0.1105 0.5834 0.8355
0.1877 0.0608 0.0594
0.2776 0.5192 0.2442
0.4166 0.8895 0.6645
0.4808 0.7224 0.2558
0.5192 0.2776 0.7442
0.5834 0.1105 0.3355
0.7224 0.4808 0.7558
0.8123 0.9392 0.9406
0.8895 0.4166 0.1645
0.9392 0.8123 0.4406
```

=====

Record 8
For NpInSe, a PBE-relaxed structure gives the computed powder diffraction line list in this record (λ = 1.5418 Å (Cu Kα)).
Intensities are scaled so that the largest is 100.

Most intense lines, 15° ≤ 2θ ≤ 90°, by angle:
2θ/deg	Rel. int.
16.85	18
22.66	19
28.37	100
34.28	26
39.79	48
41.31	19
49.11	14
49.58	22
65.37	19
72.23	13

Structure:
```
NpInSe
1.0
4.5313 0.0000 0.0000
-2.2656 3.9242 0.0000
0.0000 0.0000 10.5263
Np In Se
2 2 2
direct
0.0000 0.0000 0.2291
0.0000 0.0000 0.7709
0.3333 0.6667 0.9568
0.6667 0.3333 0.0432
0.3333 0.6667 0.3362
0.6667 0.3333 0.6638
```

=====

Record 9
For NpInSi, a PBE-relaxed structure gives the computed powder diffraction line list in this record (λ = 1.5418 Å (Cu Kα)).
Intensities are scaled so that the largest is 100.

Most intense lines, 15° ≤ 2θ ≤ 90°, by angle:
2θ/deg	Rel. int.
19.82	60
26.94	18
27.44	22
36.52	100
38.02	27
46.36	18
49.57	13
56.13	14
64.13	12
67.71	17

Structure:
```
NpInSi
1.0
2.3667 -6.9460 0.0000
2.3667 6.9460 0.0000
0.0000 0.0000 3.6782
Np In Si
2 2 2
direct
0.0568 0.9432 0.7500
0.9432 0.0568 0.2500
0.2670 0.7330 0.2500
0.7330 0.2670 0.7500
0.4371 0.5629 0.7500
0.5629 0.4371 0.2500
```

=====

Record 10
For SmNpIn6, a PBE-relaxed structure gives the computed powder diffraction line list in this record (λ = 1.5418 Å (Cu Kα)).
Intensities are scaled so that the largest is 100.

Most intense lines, 15° ≤ 2θ ≤ 90°, by angle:
2θ/deg	Rel. int.
19.04	5
27.06	5
33.30	100
38.53	17
38.70	33
55.76	23
55.89	11
66.40	13
66.63	26
69.93	11

Structure:
```
SmNpIn6
1.0
4.6533 0.0000 0.0000
0.0000 4.6533 0.0000
0.0000 0.0000 9.3465
Sm Np In
1 1 6
direct
0.0000 0.0000 0.0000
0.0000 0.0000 0.5000
0.0000 0.5000 0.2531
0.0000 0.5000 0.7469
0.5000 0.0000 0.2531
0.5000 0.0000 0.7469
0.5000 0.5000 0.0000
0.5000 0.5000 0.5000
```

=====

Record 11
For NpIn2Te4, a PBE-relaxed structure gives the computed powder diffraction line list in this record (λ = 1.5418 Å (Cu Kα)).
Intensities are scaled so that the largest is 100.

Most intense lines, 15° ≤ 2θ ≤ 90°, by angle:
2θ/deg	Rel. int.
16.03	38
24.23	22
26.67	100
28.58	39
30.12	55
32.39	23
42.00	69
44.16	26
46.28	30
70.23	28

Structure:
```
NpIn2Te4
1.0
-4.1964 4.1964 3.6735
4.1964 -4.1964 3.6735
4.1964 4.1964 -3.6735
Np In Te
1 2 4
direct
0.0000 0.0000 0.0000
0.2500 0.7500 0.5000
0.7500 0.2500 0.5000
0.1999 0.3206 0.5205
0.3206 0.8001 0.1207
0.6794 0.1999 0.8793
0.8001 0.6794 0.4795
```

=====

Record 12
For NpU3In3Te8, a PBE-relaxed structure gives the computed powder diffraction line list in this record (λ = 1.5418 Å (Cu Kα)).
Intensities are scaled so that the largest is 100.

Most intense lines, 15° ≤ 2θ ≤ 90°, by angle:
2θ/deg	Rel. int.
27.61	100
34.75	10
37.59	41
41.22	35
44.06	8
50.33	19
57.00	12
61.92	11
67.01	16
72.73	12

Structure:
```
NpU3In3Te8
1.0
7.5826 -4.3833 0.0000
7.5826 4.3833 0.0000
-5.0540 0.0000 8.2216
Np U In Te
1 3 3 8
direct
0.0000 0.0000 0.0000
0.0000 0.5000 0.0000
0.5000 0.0000 0.0000
0.5000 0.5000 0.0000
0.0000 0.0000 0.5000
0.0000 0.5000 0.5000
0.5000 0.0000 0.5000
0.2413 0.2413 0.2192
0.2412 0.7373 0.2210
0.2585 0.2585 0.7770
0.2627 0.7588 0.7790
0.7373 0.2412 0.2210
0.7415 0.7415 0.2230
0.7588 0.2627 0.7790
0.7587 0.7587 0.7808
```

=====

Record 13
For InO3, a PBE-relaxed structure gives the computed powder diffraction line list in this record (λ = 1.5418 Å (Cu Kα)).
Intensities are scaled so that the largest is 100.

Most intense lines, 15° ≤ 2θ ≤ 90°, by angle:
2θ/deg	Rel. int.
20.64	95
22.49	70
25.84	49
30.71	100
33.29	57
34.52	51
40.56	79
49.97	29
55.45	30
57.88	27

Structure:
```
InO3
1.0
-3.9539 4.3025 3.4475
3.9539 -4.3025 3.4475
3.9539 4.3025 -3.4475
In O
4 12
direct
0.2497 0.2502 0.4999
0.2497 0.7498 0.9996
0.7503 0.2502 0.0004
0.7503 0.7498 0.5001
0.0178 0.1517 0.8660
0.0861 0.5018 0.4157
0.0861 0.6705 0.5843
0.2141 0.3481 0.8660
0.2857 0.1517 0.1340
0.4138 0.8295 0.4157
0.4138 0.9980 0.5843
0.4822 0.3481 0.1340
0.5932 0.5615 0.6548
0.5932 0.9383 0.0317
0.9066 0.5615 0.9683
0.9066 0.9383 0.3452
```